InGeWO6: calculated powder XRD pattern (Cu Kα (λ = 1.5418 Å)), based on the PBE+U geometry in Alexandria.
Lines closer than 0.1° are merged.

Largest 10 diffraction maxima, most intense first, 2θ = 10–80°:
(hkl)  2θ/deg  intensity
1 1 0  26.90  100
1 0 3  34.19  84
2 1 3  52.35  66
2 0 0  38.40  23
1 0 1  21.14  19
3 0 3  66.77  19
2 2 0  55.44  16
1 1 6  65.36  16
3 1 0  62.67  15
3 2 3  79.74  14

Atomic structure:
Cell lengths 4.688, 4.688, 9.492 Å; angles 90.00, 90.00, 90.00 degrees
Space group P4_2nm (No. 102)
Asymmetric unit:
1 In 0.000 0.000 0.000 x2
2 Ge 0.000 0.000 0.666 x2
3 W 0.000 0.000 0.334 x2
4 O 0.180 0.180 0.504 x4
5 O 0.202 0.202 0.817 x4
6 O 0.211 0.211 0.175 x4